(1)
Ac2Ho7Er4: theoretical powder diffractogram (Cu Kα (λ = 1.5418 Å)), based on a crystal structure in Alexandria, relaxed with GGA-PBE.
Peak positions follow from Bragg's law for the DFT cell and can differ from measured ones.

Crystal structure
abc: 6.1424 6.1424 13.3522
angles: 90.00 90.00 120.00
Space group P-31m (No. 162)
One atom of each set of equivalent atoms:
Ac (0.3333, 0.6667, 0.0000) (multiplicity 2)
Ho (0.0000, 0.0000, 0.0000) (multiplicity 1)
Ho (0.0000, 0.3537, 0.7786) (multiplicity 6)
Er (0.0000, 0.0000, 0.3960) (multiplicity 2)
Er (0.3333, 0.6667, 0.5000) (multiplicity 2)

Main lines, sorted by position (10 to 80 degrees two-theta):
(hkl), 2theta, d_spacing, intensity
0 0 4, 26.7, 3.338, 23
1 1 0, 29.1, 3.071, 18
2 -1 1, 29.9, 2.993, 36
1 0 4, 31.6, 2.827, 14
1 1 2, 32.1, 2.790, 100
2 -1 3, 35.5, 2.528, 31
1 1 6, 50.7, 1.802, 17
3 0 0, 51.5, 1.773, 29
3 0 4, 59.0, 1.566, 14
4 -2 2, 62.0, 1.497, 15

(2)
AcHo3Er3: theoretical powder diffractogram (Cu Kα (λ = 1.5418 Å)), based on a crystal structure in Alexandria, relaxed with GGA-PBE.
Peak positions follow from Bragg's law for the DFT cell and can differ from measured ones.

Crystal structure
abc: 12.403 12.403 12.403
angles: 90.00 90.00 90.00
Space group I-43m (No. 217)
One atom of each set of equivalent atoms:
Ac (0.131, 0.131, 0.869) (multiplicity 8)
Ho (0.100, 0.100, 0.295) (multiplicity 24)
Er (0.063, 0.368, 0.368) (multiplicity 24)

Main lines, sorted by position (10 to 80 degrees two-theta):
(hkl), 2theta, d_spacing, intensity
3 2 1, 26.9, 3.315, 40
4 0 0, 28.8, 3.101, 83
4 1 1, 30.6, 2.924, 84
3 3 2, 33.9, 2.644, 100
4 3 1, 37.0, 2.433, 59
5 5 0, 52.1, 1.754, 29
6 4 2, 55.4, 1.657, 26
7 3 0, 56.5, 1.629, 24
8 1 1, 60.7, 1.527, 26
7 4 3, 64.6, 1.442, 28

(3)
AcHo4Er8: theoretical powder diffractogram (Cu Kα (λ = 1.5418 Å)), based on a crystal structure in Alexandria, relaxed with GGA-PBE.
Peak positions follow from Bragg's law for the DFT cell and can differ from measured ones.

Crystal structure
abc: 10.069 6.966 12.316
angles: 90.00 104.54 90.00
Space group C2/m (No. 12)
One atom of each set of equivalent atoms:
Ac (0.000, 0.000, 0.000) (multiplicity 2)
Ho (0.000, 0.257, 0.500) (multiplicity 4)
Ho (0.215, 0.500, 0.355) (multiplicity 4)
Er (0.089, 0.263, 0.788) (multiplicity 8)
Er (0.152, 0.500, 0.063) (multiplicity 4)
Er (0.194, 0.000, 0.348) (multiplicity 4)

Main lines, sorted by position (10 to 80 degrees two-theta):
(hkl), 2theta, d_spacing, intensity
2 0 -4, 31.0, 2.885, 86
2 2 -1, 31.4, 2.852, 100
2 2 0, 31.6, 2.834, 38
2 0 3, 32.5, 2.759, 47
0 2 3, 34.2, 2.619, 83
4 0 -1, 35.7, 2.514, 34
0 2 4, 39.8, 2.264, 20
0 4 0, 52.6, 1.741, 20
4 2 -5, 53.5, 1.714, 22
2 4 -4, 62.3, 1.491, 23

(4)
AcLa2HoEr4: theoretical powder diffractogram (Cu Kα (λ = 1.5418 Å)), based on a crystal structure in Alexandria, relaxed with GGA-PBE.
Peak positions follow from Bragg's law for the DFT cell and can differ from measured ones.

Crystal structure
abc: 7.262 7.266 11.661
angles: 89.99 89.97 60.32
Space group P-1 (No. 2)
One atom of each set of equivalent atoms:
Ac (0.000, 0.000, 0.000) (multiplicity 1)
Ac (0.500, 0.000, 0.500) (multiplicity 1)
La (0.000, 0.000, 0.500) (multiplicity 1)
La (0.000, 0.500, 0.500) (multiplicity 1)
La (0.500, 0.500, 0.000) (multiplicity 1)
La (0.500, 0.500, 0.500) (multiplicity 1)
Ho (0.000, 0.500, 0.000) (multiplicity 1)
Ho (0.500, 0.000, 0.000) (multiplicity 1)
Er (0.167, 0.169, 0.752) (multiplicity 2)
Er (0.168, 0.666, 0.751) (multiplicity 2)
Er (0.333, 0.334, 0.247) (multiplicity 2)
Er (0.333, 0.830, 0.248) (multiplicity 2)

Main lines, sorted by position (10 to 80 degrees two-theta):
(hkl), 2theta, d_spacing, intensity
2 0 1, 29.3, 3.046, 42
2 2 -1, 29.5, 3.032, 22
0 0 4, 30.7, 2.915, 50
0 2 2, 32.3, 2.775, 100
2 2 -2, 32.4, 2.765, 48
2 0 -3, 36.7, 2.450, 23
4 2 0, 50.2, 1.816, 26
0 2 6, 55.5, 1.655, 26
4 2 -4, 60.0, 1.541, 30
4 0 -2, 60.8, 1.523, 16

(5)
AcNd4Ho2Er: theoretical powder diffractogram (Cu Kα (λ = 1.5418 Å)), based on a crystal structure in Alexandria, relaxed with GGA-PBE.
Peak positions follow from Bragg's law for the DFT cell and can differ from measured ones.

Crystal structure
abc: 5.156 5.202 10.327
angles: 90.00 90.00 90.00
Space group Pmmm (No. 47)
One atom of each set of equivalent atoms:
Ac (0.000, 0.000, 0.000) (multiplicity 1)
Nd (0.000, 0.500, 0.258) (multiplicity 2)
Nd (0.500, 0.000, 0.259) (multiplicity 2)
Ho (0.000, 0.000, 0.500) (multiplicity 1)
Ho (0.500, 0.500, 0.000) (multiplicity 1)
Er (0.500, 0.500, 0.500) (multiplicity 1)

Main lines, sorted by position (10 to 80 degrees two-theta):
(hkl), 2theta, d_spacing, intensity
1 1 2, 29.9, 2.987, 100
0 2 0, 34.5, 2.601, 17
2 0 0, 34.8, 2.580, 33
2 2 0, 49.8, 1.832, 24
2 0 4, 50.0, 1.824, 12
1 3 2, 59.0, 1.566, 15
3 1 2, 59.4, 1.557, 28
2 2 4, 62.2, 1.494, 12
0 4 0, 72.7, 1.300, 2
4 0 0, 73.5, 1.289, 2

(6)
AcNd5Ho2Er: theoretical powder diffractogram (Cu Kα (λ = 1.5418 Å)), based on a crystal structure in Alexandria, relaxed with GGA-PBE.
Peak positions follow from Bragg's law for the DFT cell and can differ from measured ones.

Crystal structure
abc: 5.828 17.577 12.222
angles: 90.00 90.00 90.00
Space group Cmc2_1 (No. 36)
One atom of each set of equivalent atoms:
Ac (0.000, 0.116, 0.000) (multiplicity 4)
Nd (0.000, 0.077, 0.343) (multiplicity 4)
Nd (0.000, 0.080, 0.665) (multiplicity 4)
Nd (0.000, 0.268, 0.207) (multiplicity 4)
Nd (0.000, 0.268, 0.796) (multiplicity 4)
Nd (0.000, 0.439, 0.648) (multiplicity 4)
Ho (0.000, 0.386, 0.001) (multiplicity 4)
Ho (0.000, 0.438, 0.354) (multiplicity 4)
Er (0.000, 0.247, 0.501) (multiplicity 4)

Main lines, sorted by position (10 to 80 degrees two-theta):
(hkl), 2theta, d_spacing, intensity
0 4 2, 25.0, 3.568, 8
0 6 0, 30.6, 2.926, 37
2 0 0, 30.7, 2.914, 34
1 3 3, 30.8, 2.901, 100
0 2 4, 31.0, 2.886, 9
2 6 0, 43.8, 2.066, 17
1 9 3, 54.4, 1.685, 12
3 3 3, 54.6, 1.680, 22
2 8 4, 60.9, 1.521, 9
1 5 7, 61.4, 1.510, 9

(7)
AcPm5Ho2Er: theoretical powder diffractogram (Cu Kα (λ = 1.5418 Å)), based on a crystal structure in Alexandria, relaxed with GGA-PBE.
Peak positions follow from Bragg's law for the DFT cell and can differ from measured ones.

Crystal structure
abc: 5.800 17.501 12.157
angles: 90.00 90.00 90.00
Space group Cmc2_1 (No. 36)
One atom of each set of equivalent atoms:
Ac (0.000, 0.115, 0.000) (multiplicity 4)
Pm (0.000, 0.078, 0.341) (multiplicity 4)
Pm (0.000, 0.080, 0.664) (multiplicity 4)
Pm (0.000, 0.268, 0.206) (multiplicity 4)
Pm (0.000, 0.268, 0.795) (multiplicity 4)
Pm (0.000, 0.439, 0.648) (multiplicity 4)
Ho (0.000, 0.386, 0.000) (multiplicity 4)
Ho (0.000, 0.438, 0.353) (multiplicity 4)
Er (0.000, 0.248, 0.500) (multiplicity 4)

Main lines, sorted by position (10 to 80 degrees two-theta):
(hkl), 2theta, d_spacing, intensity
0 4 2, 25.1, 3.551, 8
0 6 0, 30.7, 2.913, 37
2 0 0, 30.8, 2.900, 34
1 3 3, 31.0, 2.887, 100
0 2 4, 31.2, 2.871, 9
2 6 0, 44.0, 2.057, 17
1 9 3, 54.7, 1.678, 12
3 3 3, 54.9, 1.672, 22
2 8 4, 61.2, 1.514, 9
1 5 7, 61.7, 1.503, 9

(8)
AcPm4Ho2Er: theoretical powder diffractogram (Cu Kα (λ = 1.5418 Å)), based on a crystal structure in Alexandria, relaxed with GGA-PBE.
Peak positions follow from Bragg's law for the DFT cell and can differ from measured ones.

Crystal structure
abc: 6.296 6.297 7.294
angles: 90.00 89.89 70.80
Space group P-1 (No. 2)
One atom of each set of equivalent atoms:
Ac (0.000, 0.000, 0.000) (multiplicity 1)
Pm (0.001, 0.500, 0.255) (multiplicity 2)
Pm (0.500, 0.000, 0.256) (multiplicity 2)
Ho (0.000, 0.000, 0.500) (multiplicity 1)
Ho (0.500, 0.500, 0.000) (multiplicity 1)
Er (0.500, 0.500, 0.500) (multiplicity 1)

Main lines, sorted by position (10 to 80 degrees two-theta):
(hkl), 2theta, d_spacing, intensity
2 0 0, 30.1, 2.973, 100
1 -1 2, 34.8, 2.579, 34
2 2 0, 35.0, 2.566, 17
2 -2 0, 50.0, 1.823, 18
1 3 2, 50.2, 1.819, 18
3 -1 2, 59.4, 1.555, 22
-3 1 2, 59.5, 1.553, 7
4 2 0, 59.7, 1.549, 14
4 0 0, 62.5, 1.486, 13
2 -2 4, 73.4, 1.291, 2

(9)
AcPrHo4Er2: theoretical powder diffractogram (Cu Kα (λ = 1.5418 Å)), based on a crystal structure in Alexandria, relaxed with GGA-PBE.
Peak positions follow from Bragg's law for the DFT cell and can differ from measured ones.

Crystal structure
abc: 6.931 11.894 13.413
angles: 90.00 90.00 90.00
Space group Imma (No. 74)
One atom of each set of equivalent atoms:
Ac (0.250, 0.250, 0.250) (multiplicity 4)
Pr (0.000, 0.000, 0.000) (multiplicity 4)
Ho (0.000, 0.015, 0.746) (multiplicity 8)
Ho (0.248, 0.250, 0.512) (multiplicity 8)
Er (0.000, 0.000, 0.500) (multiplicity 4)
Er (0.250, 0.250, 0.750) (multiplicity 4)

Main lines, sorted by position (10 to 80 degrees two-theta):
(hkl), 2theta, d_spacing, intensity
0 0 4, 26.6, 3.353, 66
2 2 0, 29.8, 2.994, 100
0 4 0, 30.1, 2.973, 50
2 2 4, 40.4, 2.233, 87
0 4 4, 40.5, 2.225, 42
2 6 0, 53.2, 1.721, 19
4 0 4, 60.1, 1.539, 14
2 6 4, 60.5, 1.531, 25
2 2 8, 63.6, 1.463, 21
4 4 4, 68.7, 1.367, 18

(10)
AcHoEr4S8: theoretical powder diffractogram (Cu Kα (λ = 1.5418 Å)), based on a crystal structure in Alexandria, relaxed with GGA-PBE.
Peak positions follow from Bragg's law for the DFT cell and can differ from measured ones.

Crystal structure
abc: 8.1057 8.1057 19.8879
angles: 90.00 90.00 120.00
Space group R3m (No. 160, hexagonal axes)
One atom of each set of equivalent atoms:
Ac (0.0000, 0.0000, 0.0000) (multiplicity 3)
Ho (0.0000, 0.0000, 0.3770) (multiplicity 3)
Er (0.0000, 0.0000, 0.7496) (multiplicity 3)
Er (0.1697, 0.3393, 0.2073) (multiplicity 9)
S (0.0000, 0.0000, 0.1409) (multiplicity 3)
S (0.0000, 0.0000, 0.6183) (multiplicity 3)
S (0.0158, 0.5079, 0.1272) (multiplicity 9)
S (0.1876, 0.3753, 0.9523) (multiplicity 9)

Main lines, sorted by position (10 to 80 degrees two-theta):
(hkl), 2theta, d_spacing, intensity
1 0 4, 21.9, 4.055, 32
0 2 1, 25.8, 3.458, 100
0 0 6, 26.9, 3.311, 13
0 2 4, 31.2, 2.867, 12
2 1 4, 38.5, 2.341, 15
0 2 7, 40.9, 2.207, 45
2 2 0, 44.7, 2.028, 53
4 0 1, 52.3, 1.749, 15
4 0 7, 62.1, 1.494, 16
2 4 7, 79.8, 1.202, 11

(11)
Ac2HoErS6: theoretical powder diffractogram (Cu Kα (λ = 1.5418 Å)), based on a crystal structure in Alexandria, relaxed with GGA-PBE.
Peak positions follow from Bragg's law for the DFT cell and can differ from measured ones.

Crystal structure
abc: 6.927 7.514 12.242
angles: 90.00 124.41 90.00
Space group P2_1/c (No. 14)
One atom of each set of equivalent atoms:
Ac (0.220, 0.087, 0.250) (multiplicity 4)
Ho (0.500, 0.000, 0.000) (multiplicity 2)
Er (0.000, 0.000, 0.500) (multiplicity 2)
S (0.121, 0.192, 0.937) (multiplicity 4)
S (0.252, 0.691, 0.937) (multiplicity 4)
S (0.374, 0.042, 0.749) (multiplicity 4)

Main lines, sorted by position (10 to 80 degrees two-theta):
(hkl), 2theta, d_spacing, intensity
1 1 0, 19.5, 4.548, 20
0 2 0, 23.7, 3.757, 17
1 1 1, 24.8, 3.586, 100
2 0 -2, 25.7, 3.464, 23
2 2 -2, 35.2, 2.547, 17
0 0 4, 35.6, 2.525, 17
2 2 -3, 36.4, 2.469, 14
1 3 -2, 39.3, 2.294, 19
2 0 2, 44.4, 2.040, 15
3 1 -5, 44.8, 2.022, 27

(12)
AcHo2ErS6: theoretical powder diffractogram (Cu Kα (λ = 1.5418 Å)), based on a crystal structure in Alexandria, relaxed with GGA-PBE.
Peak positions follow from Bragg's law for the DFT cell and can differ from measured ones.

Crystal structure
abc: 7.0433 7.0433 18.5462
angles: 90.00 90.00 120.00
Space group R3 (No. 146, hexagonal axes)
One atom of each set of equivalent atoms:
Ac (0.0000, 0.0000, 0.0000) (multiplicity 3)
Ho (0.0000, 0.0000, 0.2814) (multiplicity 3)
Ho (0.0000, 0.0000, 0.7893) (multiplicity 3)
Er (0.0000, 0.0000, 0.4843) (multiplicity 3)
S (0.0049, 0.3105, 0.8819) (multiplicity 9)
S (0.0256, 0.6192, 0.0497) (multiplicity 9)

Main lines, sorted by position (10 to 80 degrees two-theta):
(hkl), 2theta, d_spacing, intensity
0 1 2, 17.4, 5.096, 30
1 0 4, 24.1, 3.691, 99
1 1 0, 25.3, 3.522, 100
0 2 4, 35.2, 2.548, 49
2 -1 6, 38.8, 2.323, 58
3 -1 4, 43.9, 2.064, 49
3 0 0, 44.6, 2.033, 43
1 0 10, 51.5, 1.774, 17
2 2 0, 51.9, 1.761, 16
1 3 4, 58.0, 1.589, 17